Entry 1:
Simulated powder XRD pattern of LiEr7Ru4 for Cu Kα, 1.54184 Å, from DFT lattice parameters and positions (PBE).
Intensities are scaled so that the largest is 100.

Atomic structure:
```
12
Lattice="6.862 -2.572 0.000 6.862 2.572 0.000 -5.850 0.000 7.790" Properties=species:S:1:pos:R:3 pbc="T T T"
Li 0.000 0.000 0.000
Er -1.025 0.000 2.770
Er -2.140 0.000 6.805
Er 2.304 0.000 2.953
Er 6.862 0.000 0.000
Er 5.571 0.000 4.837
Er 10.015 0.000 0.985
Er 8.900 0.000 5.020
Ru 0.292 0.000 5.096
Ru 4.698 0.000 1.695
Ru 3.177 0.000 6.095
Ru 7.583 0.000 2.694
```

Most intense lines, 2θ from 10° to 90°, most intense first:
37.2°, rel. 100.0; 38.5°, rel. 84.5; 34.9°, rel. 75.2; 25.8°, rel. 45.0; 27.2°, rel. 29.6; 38.7°, rel. 26.5; 32.8°, rel. 26.0; 53.1°, rel. 20.4; 64.1°, rel. 20.3; 65.0°, rel. 18.1

=====

Entry 2:
Simulated powder XRD pattern of LiCuSe for Cu Kα, 1.54184 Å, from DFT lattice parameters and positions (PBE).
Intensities are scaled so that the largest is 100.

Atomic structure:
```
6
Lattice="3.001 -3.491 0.000 3.001 3.491 0.000 0.000 0.000 5.827" Properties=species:S:1:pos:R:3 pbc="T T T"
Li 1.500 0.000 0.000
Li 4.501 0.000 0.000
Cu 1.500 1.746 2.914
Cu 1.500 -1.746 2.914
Se 3.001 1.746 4.641
Se 3.001 -1.746 1.186
```

Most intense lines, 2θ from 10° to 90°, most intense first:
24.8°, rel. 100.0; 25.5°, rel. 82.6; 50.9°, rel. 39.2; 43.3°, rel. 37.4; 42.7°, rel. 37.3; 33.6°, rel. 29.5; 15.2°, rel. 21.7; 44.6°, rel. 20.2; 70.2°, rel. 18.6; 54.0°, rel. 17.6

=====

Question: What is the formula in the second record?
Answer: LiCuSe